No. 1
The following is a calculated powder diffraction line list of TaZn2WO6. It was derived from a cell relaxed with PBE+U, using Cu Kα (λ = 1.5418 Å).
Neutral-atom scattering factors, no anomalous dispersion.

Most intense lines, 10 to 90 degrees two-theta, in order of rising 2θ:
| 2θ (°) | I/Imax |
| --- | --- |
| 22.6 | 289 |
| 22.9 | 260 |
| 23.7 | 254 |
| 32.4 | 1000 |
| 33.0 | 961 |
| 33.1 | 469 |
| 33.3 | 481 |
| 46.2 | 237 |
| 58.1 | 224 |
| 58.3 | 242 |

a = 5.3864 Å, b = 7.8654 Å, c = 5.4194 Å
α = 90.00°, β = 91.82°, γ = 90.00°
Fractional coordinates of all 20 atoms:
Ta 0.0000 0.0000 0.0000
Ta 0.0000 0.5000 0.0000
Zn 0.0278 0.2500 0.5035
Zn 0.4884 0.7500 0.0272
Zn 0.5116 0.2500 0.9728
Zn 0.9722 0.7500 0.4965
W 0.5000 0.0000 0.5000
W 0.5000 0.5000 0.5000
O 0.0759 0.7500 0.1222
O 0.1594 0.5654 0.6870
O 0.1594 0.9346 0.6870
O 0.3218 0.0673 0.1503
O 0.3218 0.4327 0.1503
O 0.3930 0.2500 0.6183
O 0.6070 0.7500 0.3817
O 0.6782 0.5673 0.8497
O 0.6782 0.9327 0.8497
O 0.8406 0.0654 0.3130
O 0.8406 0.4346 0.3130
O 0.9241 0.2500 0.8778



No. 2
The following is a calculated powder diffraction line list of Mn2FeReO6. It was derived from a cell relaxed with PBE+U, using Cu Kα (λ = 1.5418 Å).
Neutral-atom scattering factors, no anomalous dispersion.

Most intense lines, 10 to 90 degrees two-theta, in order of rising 2θ:
| 2θ (°) | I/Imax |
| --- | --- |
| 19.9 | 196 |
| 20.1 | 188 |
| 20.3 | 348 |
| 23.5 | 342 |
| 33.0 | 1000 |
| 33.2 | 653 |
| 33.9 | 306 |
| 48.0 | 293 |
| 59.1 | 205 |
| 60.1 | 239 |

a = 5.2923 Å, b = 5.4231 Å, c = 7.7444 Å
α = 90.38°, β = 90.03°, γ = 90.10°
Fractional coordinates of all 20 atoms:
Mn 0.0000 0.0000 0.0000
Mn 0.0120 0.1031 0.5098
Mn 0.4971 0.6037 0.5018
Mn 0.5132 0.4982 0.0023
Fe 0.0060 0.5511 0.7516
Fe 0.5060 0.0505 0.2538
Re 0.0050 0.5508 0.2528
Re 0.5060 0.0516 0.7554
O 0.1244 0.6091 0.0126
O 0.1636 0.8533 0.3212
O 0.1975 0.8630 0.6947
O 0.3134 0.3743 0.3142
O 0.3250 0.3544 0.6870
O 0.3851 0.1117 0.9918
O 0.6247 0.9913 0.5175
O 0.6868 0.7491 0.8209
O 0.6926 0.7227 0.1943
O 0.8160 0.2380 0.8119
O 0.8458 0.2472 0.1866
O 0.8863 0.4948 0.4951



No. 3
The following is a calculated powder diffraction line list of Li2Mn3CuO8. It was derived from a cell relaxed with PBE+U, using Cu Kα (λ = 1.5418 Å).
Neutral-atom scattering factors, no anomalous dispersion.

Most intense lines, 10 to 90 degrees two-theta, in order of rising 2θ:
| 2θ (°) | I/Imax |
| --- | --- |
| 15.2 | 212 |
| 18.6 | 709 |
| 21.4 | 263 |
| 23.9 | 224 |
| 30.6 | 257 |
| 35.8 | 1000 |
| 36.2 | 589 |
| 57.5 | 209 |
| 63.2 | 282 |
| 63.7 | 410 |

a = 8.1986 Å, b = 8.3109 Å, c = 8.3320 Å
α = 90.05°, β = 90.06°, γ = 90.05°
Fractional coordinates of all 56 atoms:
Li 0.0000 0.0000 0.0000
Li 0.0040 0.5025 0.4997
Li 0.1309 0.8768 0.6287
Li 0.3737 0.3786 0.3764
Li 0.4989 0.0022 0.5044
Li 0.5049 0.4997 0.0041
Li 0.6309 0.1246 0.8770
Li 0.8747 0.6280 0.1288
Mn 0.1276 0.1309 0.3741
Mn 0.1280 0.3723 0.1258
Mn 0.1293 0.6257 0.8749
Mn 0.3743 0.1268 0.1304
Mn 0.3762 0.8716 0.8798
Mn 0.3765 0.6296 0.6317
Mn 0.6280 0.6313 0.3793
Mn 0.6277 0.8740 0.1323
Mn 0.6292 0.3754 0.6294
Mn 0.8751 0.8772 0.3758
Mn 0.8765 0.3723 0.8732
Mn 0.8765 0.1306 0.6261
Cu 0.2399 0.7471 0.2566
Cu 0.2663 0.2462 0.7486
Cu 0.7406 0.2591 0.2472
Cu 0.7648 0.7553 0.7559
O 0.1083 0.8950 0.3791
O 0.1144 0.1315 0.6027
O 0.1178 0.3871 0.8875
O 0.1217 0.3589 0.3512
O 0.1345 0.6015 0.1097
O 0.1371 0.1370 0.1391
O 0.1439 0.8508 0.8813
O 0.1483 0.6241 0.6471
O 0.3557 0.1260 0.3582
O 0.3598 0.3521 0.1234
O 0.3666 0.6364 0.8667
O 0.3685 0.1006 0.8960
O 0.3829 0.8575 0.6544
O 0.3861 0.8881 0.1182
O 0.3902 0.6322 0.4030
O 0.3960 0.3940 0.6259
O 0.6072 0.1100 0.1279
O 0.6141 0.8715 0.9036
O 0.6180 0.6145 0.6178
O 0.6215 0.6459 0.1541
O 0.6337 0.4019 0.3954
O 0.6378 0.8663 0.3673
O 0.6441 0.1504 0.6233
O 0.6482 0.3768 0.8575
O 0.8559 0.8796 0.1480
O 0.8602 0.6518 0.3813
O 0.8665 0.3656 0.6385
O 0.8696 0.9014 0.6100
O 0.8824 0.1443 0.8513
O 0.8867 0.1160 0.3883
O 0.8907 0.3709 0.1018
O 0.8956 0.6082 0.8792



No. 4
The following is a calculated powder diffraction line list of NaMgNiO2. It was derived from a cell relaxed with PBE+U, using Cu Kα (λ = 1.5418 Å).
Neutral-atom scattering factors, no anomalous dispersion.

Most intense lines, 10 to 90 degrees two-theta, in order of rising 2θ:
| 2θ (°) | I/Imax |
| --- | --- |
| 13.6 | 1000 |
| 27.4 | 344 |
| 35.0 | 588 |
| 36.5 | 535 |
| 36.7 | 538 |
| 37.9 | 234 |
| 38.2 | 232 |
| 41.7 | 435 |
| 52.8 | 268 |
| 56.9 | 251 |

a = 3.2404 Å, b = 3.3565 Å, c = 6.7419 Å
α = 91.70°, β = 102.83°, γ = 116.57°
Fractional coordinates of all 5 atoms:
Na 0.0000 0.0000 0.0000
Mg 0.0856 0.4925 0.6366
Ni 0.5451 0.7518 0.3189
O 0.4907 0.1875 0.7498
O 0.8820 0.3787 0.3195



No. 5
The following is a calculated powder diffraction line list of LiV2Si2O8. It was derived from a cell relaxed with PBE+U, using Cu Kα (λ = 1.5418 Å).
Neutral-atom scattering factors, no anomalous dispersion.

Most intense lines, 10 to 90 degrees two-theta, in order of rising 2θ:
| 2θ (°) | I/Imax |
| --- | --- |
| 19.7 | 566 |
| 22.0 | 249 |
| 24.4 | 475 |
| 26.2 | 282 |
| 33.1 | 375 |
| 34.9 | 1000 |
| 37.3 | 368 |
| 44.2 | 286 |
| 49.9 | 257 |
| 64.8 | 362 |

a = 6.2644 Å, b = 4.8626 Å, c = 4.8626 Å
α = 67.64°, β = 90.00°, γ = 90.00°
Fractional coordinates of all 13 atoms:
Li 0.0000 0.0000 0.0000
V 0.2579 0.6710 0.6710
V 0.7421 0.6710 0.6710
Si 0.0000 0.3271 0.3271
Si 0.5000 0.0246 0.0246
O 0.0000 0.4471 0.9585
O 0.0000 0.9585 0.4471
O 0.2062 0.4483 0.4483
O 0.2854 0.9088 0.9088
O 0.5000 0.3953 0.8915
O 0.5000 0.8915 0.3953
O 0.7146 0.9088 0.9088
O 0.7938 0.4483 0.4483



No. 6
The following is a calculated powder diffraction line list of Li4FeP6H8O22. It was derived from a cell relaxed with PBE+U, using Cu Kα (λ = 1.5418 Å).
Neutral-atom scattering factors, no anomalous dispersion.

Most intense lines, 10 to 90 degrees two-theta, in order of rising 2θ:
| 2θ (°) | I/Imax |
| --- | --- |
| 11.9 | 1000 |
| 15.4 | 848 |
| 18.1 | 778 |
| 22.3 | 605 |
| 24.3 | 484 |
| 27.8 | 530 |
| 27.9 | 790 |
| 30.6 | 486 |
| 30.7 | 470 |
| 35.3 | 559 |

a = 6.9771 Å, b = 7.4871 Å, c = 8.5894 Å
α = 84.92°, β = 76.35°, γ = 86.04°
Fractional coordinates of all 41 atoms:
Li 0.0726 0.3516 0.0812
Li 0.3163 0.4463 0.7412
Li 0.6837 0.5537 0.2588
Li 0.9274 0.6484 0.9188
Fe 0.0000 0.0000 0.5000
P 0.2203 0.0207 0.8059
P 0.3436 0.7094 0.9933
P 0.4429 0.2106 0.3325
P 0.5571 0.7894 0.6675
P 0.6564 0.2906 0.0067
P 0.7797 0.9793 0.1941
H 0.0231 0.3859 0.3800
H 0.0369 0.5866 0.3166
H 0.2647 0.7613 0.3121
H 0.2755 0.7313 0.4943
H 0.7245 0.2687 0.5057
H 0.7353 0.2387 0.6879
H 0.9631 0.4134 0.6834
H 0.9769 0.6141 0.6200
O 0.0171 0.5256 0.6993
O 0.0690 0.9336 0.7422
O 0.1830 0.7731 0.4244
O 0.1957 0.2149 0.8383
O 0.2108 0.5773 0.9519
O 0.2320 0.1800 0.4140
O 0.2460 0.9101 0.9728
O 0.3978 0.6831 0.1517
O 0.4385 0.9834 0.6878
O 0.4480 0.6598 0.5998
O 0.4513 0.2791 0.1449
O 0.5487 0.7209 0.8551
O 0.5520 0.3402 0.4002
O 0.5615 0.0166 0.3122
O 0.6022 0.3170 0.8483
O 0.7540 0.0899 0.0272
O 0.7680 0.8200 0.5860
O 0.7892 0.4227 0.0481
O 0.8043 0.7851 0.1617
O 0.8170 0.2269 0.5756
O 0.9310 0.0664 0.2578
O 0.9829 0.4744 0.3007



No. 7
The following is a calculated powder diffraction line list of Ca3Fe2Cl2O5. It was derived from a cell relaxed with PBE+U, using Cu Kα (λ = 1.5418 Å).
Neutral-atom scattering factors, no anomalous dispersion.

Most intense lines, 10 to 90 degrees two-theta, in order of rising 2θ:
| 2θ (°) | I/Imax |
| --- | --- |
| 15.0 | 191 |
| 23.1 | 109 |
| 32.5 | 607 |
| 35.2 | 1000 |
| 46.6 | 444 |
| 59.7 | 378 |
| 64.9 | 108 |
| 68.0 | 121 |
| 77.4 | 85 |
| 79.0 | 79 |

a = 12.0956 Å, b = 12.0956 Å, c = 12.0956 Å
α = 161.45°, β = 161.45°, γ = 26.35°
Fractional coordinates of all 12 atoms:
Ca 0.0000 0.0000 0.0000
Ca 0.1525 0.1525 0.0000
Ca 0.8475 0.8475 0.0000
Fe 0.4187 0.4187 0.0000
Fe 0.5813 0.5813 0.0000
Cl 0.2977 0.2977 0.0000
Cl 0.7023 0.7023 0.0000
O 0.0922 0.5922 0.5000
O 0.4078 0.9078 0.5000
O 0.5000 0.5000 0.0000
O 0.5922 0.0922 0.5000
O 0.9078 0.4078 0.5000



No. 8
The following is a calculated powder diffraction line list of Ca3Cr3P4O16. It was derived from a cell relaxed with PBE+U, using Cu Kα (λ = 1.5418 Å).
Neutral-atom scattering factors, no anomalous dispersion.

Most intense lines, 10 to 90 degrees two-theta, in order of rising 2θ:
| 2θ (°) | I/Imax |
| --- | --- |
| 11.3 | 988 |
| 26.6 | 834 |
| 27.1 | 497 |
| 30.6 | 292 |
| 31.0 | 455 |
| 31.4 | 429 |
| 31.6 | 1000 |
| 33.9 | 423 |
| 34.3 | 333 |
| 35.9 | 401 |

a = 9.0963 Å, b = 9.1408 Å, c = 10.0211 Å
α = 104.82°, β = 106.23°, γ = 109.89°
Fractional coordinates of all 52 atoms:
Ca 0.0205 0.0001 0.3003
Ca 0.1775 0.6505 0.7109
Ca 0.2285 0.7155 0.2076
Ca 0.7715 0.2845 0.7924
Ca 0.8225 0.3495 0.2891
Ca 0.9795 0.9999 0.6997
Cr 0.4417 0.1898 0.9165
Cr 0.4504 0.1966 0.3881
Cr 0.4531 0.4826 0.2300
Cr 0.5469 0.5174 0.7700
Cr 0.5496 0.8034 0.6119
Cr 0.5583 0.8102 0.0835
P 0.2326 0.4205 0.8911
P 0.2371 0.9376 0.0162
P 0.2592 0.4409 0.4430
P 0.3120 0.9892 0.5749
P 0.6880 0.0108 0.4251
P 0.7408 0.5591 0.5570
P 0.7629 0.0624 0.9838
P 0.7674 0.5795 0.1089
O 0.0574 0.4091 0.8040
O 0.0955 0.4308 0.4600
O 0.1275 0.8851 0.8469
O 0.1321 0.9664 0.5532
O 0.1372 0.9077 0.1163
O 0.2340 0.2461 0.8527
O 0.2599 0.2657 0.4011
O 0.2855 0.5054 0.0638
O 0.2939 0.5233 0.3305
O 0.3248 0.8150 0.0149
O 0.3257 0.9795 0.4198
O 0.3413 0.8432 0.6133
O 0.3693 0.5393 0.8519
O 0.3753 0.1254 0.0854
O 0.4121 0.5649 0.6011
O 0.4542 0.1624 0.7024
O 0.5458 0.8376 0.2976
O 0.5879 0.4351 0.3989
O 0.6247 0.8746 0.9146
O 0.6307 0.4607 0.1481
O 0.6587 0.1568 0.3867
O 0.6743 0.0205 0.5802
O 0.6752 0.1850 0.9851
O 0.7061 0.4767 0.6695
O 0.7145 0.4946 0.9362
O 0.7401 0.7343 0.5989
O 0.7660 0.7539 0.1473
O 0.8628 0.0923 0.8837
O 0.8679 0.0336 0.4468
O 0.8725 0.1149 0.1531
O 0.9045 0.5692 0.5400
O 0.9426 0.5909 0.1960



No. 9
The following is a calculated powder diffraction line list of Li10Fe5Co3O16. It was derived from a cell relaxed with PBE+U, using Cu Kα (λ = 1.5418 Å).
Neutral-atom scattering factors, no anomalous dispersion.

Most intense lines, 10 to 90 degrees two-theta, in order of rising 2θ:
| 2θ (°) | I/Imax |
| --- | --- |
| 18.0 | 1000 |
| 19.2 | 636 |
| 19.4 | 938 |
| 34.9 | 354 |
| 35.3 | 342 |
| 35.9 | 814 |
| 39.5 | 380 |
| 44.2 | 365 |
| 44.3 | 348 |
| 44.8 | 647 |

a = 5.9772 Å, b = 5.9876 Å, c = 9.8337 Å
α = 90.67°, β = 90.15°, γ = 119.81°
Fractional coordinates of all 34 atoms:
Li 0.0000 0.0000 0.0000
Li 0.0024 0.0052 0.5039
Li 0.2003 0.8102 0.4335
Li 0.2045 0.3914 0.4337
Li 0.3395 0.6675 0.2149
Li 0.4013 0.2026 0.9321
Li 0.6128 0.8057 0.4349
Li 0.6736 0.3405 0.7151
Li 0.8086 0.6092 0.9348
Li 0.8131 0.1981 0.9298
Fe 0.1737 0.3479 0.7028
Fe 0.3423 0.1737 0.2011
Fe 0.3446 0.6847 0.9576
Fe 0.6684 0.3441 0.4602
Fe 0.8366 0.1746 0.2027
Co 0.1718 0.8393 0.7016
Co 0.6647 0.8384 0.6999
Co 0.8361 0.6658 0.2014
O 0.0111 0.0156 0.3138
O 0.0247 0.5127 0.8288
O 0.1704 0.3341 0.0803
O 0.1781 0.8468 0.0746
O 0.3360 0.1815 0.5764
O 0.3518 0.6757 0.5872
O 0.4917 0.5098 0.8276
O 0.5027 0.9885 0.8248
O 0.5092 0.4914 0.3262
O 0.5129 0.0225 0.3256
O 0.6681 0.3278 0.0820
O 0.6702 0.8447 0.0771
O 0.8251 0.6746 0.5783
O 0.8388 0.1788 0.5801
O 0.9832 0.0056 0.8075
O 0.9879 0.4895 0.3317